K4CdP: calculated powder X-ray diffraction pattern (Cu Kα X-rays), based on a crystal structure in Alexandria, relaxed with PBE.
Neutral-atom scattering factors, no anomalous dispersion.

Most intense lines, 2θ from 10° to 90°, by angle:
two_theta	d (Å)	intensity
15.71	5.641	142
18.16	4.885	168
25.79	3.455	433
30.34	2.946	1000
31.72	2.821	265
45.48	1.994	176
48.41	1.880	337
53.02	1.727	232
62.31	1.490	110
74.61	1.272	188

Structure:
```
K4CdP
1.0
0.0000 4.8855 4.8855
4.8855 0.0000 4.8855
4.8855 4.8855 0.0000
K Cd P
4 1 1
Cartesian
1.2047 1.2047 1.2047 K
3.6808 3.6808 1.2047 K
3.6808 1.2047 3.6808 K
1.2047 3.6808 3.6808 K
4.8855 4.8855 4.8855 Cd
7.3282 7.3282 7.3282 P
```

=====

K5CdP2: calculated powder X-ray diffraction pattern (Cu Kα X-rays), based on a crystal structure in Alexandria, relaxed with PBE.
Neutral-atom scattering factors, no anomalous dispersion.

Most intense lines, 2θ from 10° to 90°, by angle:
two_theta	d (Å)	intensity
18.10	4.900	318
22.30	3.986	183
25.44	3.502	441
30.58	2.924	1000
32.88	2.724	170
36.99	2.430	224
41.66	2.168	133
48.78	1.867	271
54.35	1.688	170
56.99	1.616	150

Structure:
```
K5CdP2
1.0
5.8477 0.0000 0.0000
-2.9238 5.0642 0.0000
0.0000 0.0000 19.3889
K Cd P
10 2 4
Cartesian
0.0000 0.0000 2.6245 K
0.0000 0.0000 7.0700 K
0.0000 0.0000 12.3190 K
0.0000 0.0000 16.7645 K
0.0000 3.3761 0.9361 K
0.0000 3.3761 4.8472 K
0.0000 3.3761 8.7584 K
2.9238 1.6881 10.6306 K
2.9238 1.6881 14.5417 K
2.9238 1.6881 18.4528 K
0.0000 3.3761 14.5417 Cd
2.9238 1.6881 4.8472 Cd
0.0000 3.3761 12.0492 P
0.0000 3.3761 17.0343 P
2.9238 1.6881 2.3547 P
2.9238 1.6881 7.3398 P
```

=====

KPaCdS4: calculated powder X-ray diffraction pattern (Cu Kα X-rays), based on a crystal structure in Alexandria, relaxed with PBE.
Neutral-atom scattering factors, no anomalous dispersion.

Most intense lines, 2θ from 10° to 90°, by angle:
two_theta	d (Å)	intensity
12.72	6.959	184
13.24	6.689	1000
23.78	3.742	252
25.25	3.526	497
25.60	3.480	217
27.95	3.192	270
31.36	2.852	410
41.39	2.181	205
42.50	2.127	441
54.89	1.673	175

Structure:
```
KPaCdS4
1.0
-3.9263 4.1500 6.3850
3.9263 -4.1500 6.3850
3.9263 4.1500 -6.3850
K Pa Cd S
2 2 2 8
Cartesian
0.0000 2.0750 2.0114 K
3.9263 2.0750 4.3736 K
3.9263 0.0000 0.0000 Pa
0.0000 0.0000 6.3850 Pa
1.9632 2.0750 -3.1925 Cd
1.9632 -2.0750 3.1925 Cd
3.9263 -0.3440 2.6481 S
3.9263 3.8060 -2.6481 S
2.2570 2.0750 0.0374 S
5.5957 2.0750 0.0374 S
-1.6693 2.0750 6.3476 S
1.6693 2.0750 6.3476 S
0.0000 0.3440 9.0331 S
0.0000 4.4940 3.7369 S
```

=====

K2Cd6Pb3: calculated powder X-ray diffraction pattern (Cu Kα X-rays), based on a crystal structure in Alexandria, relaxed with PBE.
Neutral-atom scattering factors, no anomalous dispersion.

Most intense lines, 2θ from 10° to 90°, by angle:
two_theta	d (Å)	intensity
13.47	6.571	718
14.77	6.000	289
27.42	3.253	1000
29.89	2.990	241
35.71	2.514	683
36.38	2.469	508
37.55	2.395	332
38.12	2.361	366
41.21	2.190	202
54.58	1.681	258

Structure:
```
K2Cd6Pb3
1.0
5.9995 -6.5712 0.0000
5.9995 6.5712 0.0000
0.0000 0.0000 4.7900
K Cd Pb
2 6 3
Cartesian
5.9995 3.7369 0.0000 K
5.9995 -3.7369 0.0000 K
1.3813 0.0000 2.3950 Cd
3.5744 2.0210 2.3950 Cd
3.5744 -2.0210 2.3950 Cd
8.4246 2.0210 2.3950 Cd
8.4246 -2.0210 2.3950 Cd
10.6177 0.0000 2.3950 Cd
3.5020 0.0000 0.0000 Pb
5.9995 0.0000 2.3950 Pb
8.4971 0.0000 0.0000 Pb
```

=====

KCdPb11: calculated powder X-ray diffraction pattern (Cu Kα X-rays), based on a crystal structure in Alexandria, relaxed with PBE.
Neutral-atom scattering factors, no anomalous dispersion.

Most intense lines, 2θ from 10° to 90°, by angle:
two_theta	d (Å)	intensity
30.42	2.939	464
31.05	2.880	1000
31.25	2.862	807
31.46	2.843	454
31.91	2.805	485
34.38	2.608	727
34.51	2.599	444
35.26	2.546	472
35.52	2.527	812
56.19	1.637	451

Structure:
```
KCdPb11
1.0
3.2548 -8.0262 0.0000
3.2548 8.0262 0.0000
-2.9805 0.0000 8.2714
K Cd Pb
1 1 11
Cartesian
0.0000 0.0000 0.0000 K
1.7645 0.0000 4.1357 Cd
-1.4902 0.0000 4.1357 Pb
1.6274 4.0131 0.0000 Pb
0.1915 5.1793 5.3309 Pb
0.2731 1.7339 6.4255 Pb
3.3375 5.1793 2.9405 Pb
3.2560 1.7339 1.8459 Pb
1.6274 -4.0131 0.0000 Pb
0.2731 -1.7339 6.4255 Pb
0.1915 -5.1793 5.3309 Pb
3.2560 -1.7339 1.8459 Pb
3.3375 -5.1793 2.9405 Pb
```

=====

KCd4Pb2: calculated powder X-ray diffraction pattern (Cu Kα X-rays), based on a crystal structure in Alexandria, relaxed with PBE.
Neutral-atom scattering factors, no anomalous dispersion.

Most intense lines, 2θ from 10° to 90°, by angle:
two_theta	d (Å)	intensity
18.76	4.729	263
19.23	4.616	334
26.99	3.303	175
30.40	2.940	386
30.84	2.899	219
36.35	2.472	1000
37.71	2.386	292
38.06	2.365	284
54.65	1.679	196
67.64	1.385	182

Structure:
```
KCd4Pb2
1.0
2.3856 -9.1254 0.0000
2.3856 9.1254 0.0000
0.0000 0.0000 4.7292
K Cd Pb
1 4 2
Cartesian
0.0000 0.0000 0.0000 K
2.3856 5.5949 2.3646 Cd
2.3856 3.5658 0.0000 Cd
2.3856 -3.5658 0.0000 Cd
2.3856 -5.5949 2.3646 Cd
2.3856 1.6370 2.3646 Pb
2.3856 -1.6370 2.3646 Pb
```

=====

KCd2Pb: calculated powder X-ray diffraction pattern (Cu Kα X-rays), based on a crystal structure in Alexandria, relaxed with PBE.
Neutral-atom scattering factors, no anomalous dispersion.

Most intense lines, 2θ from 10° to 90°, by angle:
two_theta	d (Å)	intensity
13.94	6.355	1000
17.06	5.198	541
18.81	4.717	545
28.95	3.084	911
29.56	3.022	759
35.18	2.551	496
35.34	2.540	843
36.53	2.460	942
38.02	2.367	627
40.45	2.230	636

Structure:
```
KCd2Pb
1.0
6.3752 -2.5401 0.0000
6.3752 2.5401 0.0000
-0.6480 0.0000 8.0674
K Cd Pb
2 4 2
Cartesian
0.0000 0.0000 0.0000 K
1.2855 0.0000 3.8495 K
3.0691 0.0000 7.6307 Cd
4.7630 0.0000 2.3265 Cd
5.1666 0.0000 5.4959 Cd
9.2635 0.0000 1.4278 Cd
8.0908 0.0000 6.4915 Pb
10.4048 0.0000 4.2336 Pb
```

=====

KCd5Pb7: calculated powder X-ray diffraction pattern (Cu Kα X-rays), based on a crystal structure in Alexandria, relaxed with PBE.
Neutral-atom scattering factors, no anomalous dispersion.

Most intense lines, 2θ from 10° to 90°, by angle:
two_theta	d (Å)	intensity
11.05	8.010	382
28.38	3.145	418
30.81	2.903	358
31.90	2.806	580
32.37	2.766	1000
33.55	2.671	388
34.91	2.570	360
35.28	2.544	571
36.58	2.457	371
37.38	2.406	990

Structure:
```
KCd5Pb7
1.0
-3.0091 5.5330 5.8051
3.0091 -5.5330 5.8051
3.0091 5.5330 -5.8051
K Cd Pb
1 5 7
Cartesian
0.0000 0.0000 0.0000 K
-1.5016 2.8740 2.9500 Cd
1.5016 2.8740 2.9500 Cd
0.0000 5.5330 3.3085 Cd
-1.5016 8.1921 2.9500 Cd
1.5016 8.1921 2.9500 Cd
3.0091 2.2604 0.0180 Pb
3.0091 0.0000 2.6127 Pb
0.0000 3.8672 0.0430 Pb
0.0000 0.0000 4.1017 Pb
0.0000 0.0000 7.4889 Pb
0.0000 7.1988 0.0430 Pb
0.0000 3.2726 5.8232 Pb
```

=====

K4CdPb4: calculated powder X-ray diffraction pattern (Cu Kα X-rays), based on a crystal structure in Alexandria, relaxed with PBE.
Neutral-atom scattering factors, no anomalous dispersion.

Most intense lines, 2θ from 10° to 90°, by angle:
two_theta	d (Å)	intensity
11.16	7.931	177
13.92	6.364	601
18.06	4.913	303
21.12	4.208	235
21.27	4.176	391
28.94	3.086	404
29.29	3.049	1000
33.45	2.679	174
40.64	2.220	396
42.64	2.120	467

Structure:
```
K4CdPb4
1.0
-3.4737 3.4737 7.9312
3.4737 -3.4737 7.9312
3.4737 3.4737 -7.9312
K Cd Pb
4 1 4
Cartesian
2.2021 2.2021 -1.7625 K
1.2716 -1.2716 9.6937 K
1.2716 1.2716 6.1687 K
-1.2716 1.2716 9.6937 K
0.0000 0.0000 0.0000 Cd
2.3604 2.3604 -5.3128 Pb
1.1133 1.1133 2.6184 Pb
1.1133 -1.1133 13.2440 Pb
-1.1133 1.1133 13.2440 Pb
```

=====

KCd2Pb4: calculated powder X-ray diffraction pattern (Cu Kα X-rays), based on a crystal structure in Alexandria, relaxed with PBE.
Neutral-atom scattering factors, no anomalous dispersion.

Most intense lines, 2θ from 10° to 90°, by angle:
two_theta	d (Å)	intensity
10.31	8.577	637
28.78	3.102	1000
33.81	2.651	303
34.88	2.572	279
35.73	2.513	718
49.37	1.846	210
57.44	1.604	148
58.86	1.569	142
61.74	1.503	150
63.10	1.473	141

Structure:
```
KCd2Pb4
1.0
2.6509 -8.5766 0.0000
2.6509 8.5766 0.0000
0.0000 0.0000 5.1444
K Cd Pb
1 2 4
Cartesian
0.0000 0.0000 0.0000 K
2.6509 1.4142 2.5722 Cd
2.6509 -1.4142 2.5722 Cd
2.6509 5.4094 2.5722 Pb
2.6509 3.2360 0.0000 Pb
2.6509 -3.2360 0.0000 Pb
2.6509 -5.4094 2.5722 Pb
```

=====

K2Cd15Pb2: calculated powder X-ray diffraction pattern (Cu Kα X-rays), based on a crystal structure in Alexandria, relaxed with PBE.
Neutral-atom scattering factors, no anomalous dispersion.

Most intense lines, 2θ from 10° to 90°, by angle:
two_theta	d (Å)	intensity
11.20	7.903	393
28.68	3.112	322
30.78	2.905	258
33.24	2.695	538
34.03	2.634	534
35.13	2.554	242
35.85	2.505	234
38.02	2.367	1000
40.11	2.248	304
59.39	1.556	248

Structure:
```
K2Cd15Pb2
1.0
5.3905 3.1122 4.9468
-5.3905 3.1122 4.9468
0.0000 -6.2245 4.9468
K Cd Pb
2 15 2
Cartesian
0.0000 0.0000 2.3181 K
0.0000 0.0000 12.5224 K
-2.6953 -1.5561 4.9468 Cd
0.0000 -3.2482 4.7088 Cd
-2.8130 1.6241 4.7088 Cd
-1.6417 -2.8434 7.4203 Cd
-3.2833 0.0000 7.4203 Cd
-2.8130 -1.6241 10.1317 Cd
-2.6953 1.5561 9.8937 Cd
1.6417 -2.8434 7.4202 Cd
0.0000 3.1122 4.9468 Cd
-1.6417 2.8434 7.4202 Cd
2.8130 1.6241 4.7088 Cd
3.2833 0.0000 7.4202 Cd
1.6417 2.8434 7.4202 Cd
2.8130 -1.6241 10.1317 Cd
0.0000 3.2481 10.1317 Cd
0.0000 0.0000 5.8434 Pb
0.0000 0.0000 8.9971 Pb
```

=====

KCd2Pb3: calculated powder X-ray diffraction pattern (Cu Kα X-rays), based on a crystal structure in Alexandria, relaxed with PBE.
Neutral-atom scattering factors, no anomalous dispersion.

Most intense lines, 2θ from 10° to 90°, by angle:
two_theta	d (Å)	intensity
10.44	8.476	710
14.40	6.150	469
18.64	4.759	568
26.12	3.412	374
27.79	3.210	641
30.57	2.924	384
33.95	2.641	437
34.77	2.580	414
35.40	2.536	947
37.81	2.380	1000

Structure:
```
KCd2Pb3
1.0
6.1504 -5.8481 0.0000
6.1504 5.8481 0.0000
0.0000 0.0000 5.7511
K Cd Pb
2 4 6
Cartesian
6.1504 3.8232 4.3133 K
6.1504 -3.8232 1.4378 K
3.2071 0.0000 0.0000 Cd
3.2071 0.0000 2.8756 Cd
9.0938 0.0000 0.0000 Cd
9.0938 0.0000 2.8756 Cd
3.8576 3.1146 1.4378 Pb
8.4433 3.1146 1.4378 Pb
6.1504 0.7393 1.4378 Pb
6.1504 -0.7393 4.3133 Pb
3.8576 -3.1146 4.3133 Pb
8.4433 -3.1146 4.3133 Pb
```